The following is a calculated X-ray diffraction stick pattern of HfWO5. It was derived from a DFT-relaxed cell (PBE+U, Alexandria), using copper Kα.

Cell and atoms:
```
14
Lattice="3.746 0.000 0.000 0.000 6.448 0.000 0.000 0.000 7.829" Properties=species:S:1:pos:R:3 pbc="T T T"
Hf 0.000 0.000 0.000
Hf 1.873 3.224 3.914
W 0.000 0.000 3.914
W 1.873 3.224 0.000
O 0.000 0.000 1.994
O 0.000 0.000 5.835
O 0.000 1.974 3.914
O 0.000 3.224 0.000
O 0.000 4.474 3.914
O 1.873 0.000 3.914
O 1.873 1.250 0.000
O 1.873 3.224 1.920
O 1.873 3.224 5.908
O 1.873 5.198 0.000
```

Most intense lines, 2θ from 5° to 70°, in order of rising 2θ:
| 2theta | I/Imax |
| --- | --- |
| 22.72 | 86.1 |
| 27.54 | 100.0 |
| 27.67 | 55.2 |
| 35.99 | 66.3 |
| 36.09 | 37.4 |
| 46.39 | 17.4 |
| 48.86 | 25.4 |
| 54.52 | 26.9 |
| 54.83 | 46.3 |
| 69.66 | 17.1 |